No. 1
The following is a simulated powder diffraction line list of ZnCu2SiS4. It was derived from a cell relaxed with PBE, using Cu Kα X-rays.

Structural model:
```
data_ZnCu2SiS4
_cell_length_a 6.159
_cell_length_b 6.425
_cell_length_c 9.650
_cell_angle_alpha 90.00
_cell_angle_beta 129.65
_cell_angle_gamma 90.00
_symmetry_space_group_name_H-M 'P 1'
_symmetry_Int_Tables_number 1
loop_
_symmetry_equiv_pos_as_xyz
'x,y,z'
loop_
_atom_site_label
_atom_site_fract_x
_atom_site_fract_y
_atom_site_fract_z
Zn1 0.000 0.175 0.000
Zn2 0.000 0.825 0.500
Cu1 0.254 0.348 0.754
Cu2 0.254 0.652 0.254
Cu3 0.500 0.172 0.504
Cu4 0.500 0.828 0.004
Si1 0.757 0.326 0.253
Si2 0.757 0.674 0.753
S1 0.117 0.174 0.494
S2 0.117 0.826 0.994
S3 0.411 0.325 0.257
S4 0.411 0.675 0.757
S5 0.628 0.170 0.012
S6 0.628 0.830 0.512
S7 0.874 0.359 0.748
S8 0.874 0.641 0.248
```

The 6 most intense peaks (10 to 90 degrees two-theta), by angle:
| d_spacing | 2θ (°) | I (rel.) |
| --- | --- | --- |
| 3.215 | 27.75 | 100.0 |
| 3.079 | 29.00 | 60.2 |
| 2.850 | 31.39 | 97.2 |
| 1.856 | 49.08 | 72.7 |
| 1.730 | 52.92 | 77.0 |
| 1.590 | 58.02 | 43.8 |

No. 2
The following is a simulated powder diffraction line list of LaS4. It was derived from a cell relaxed with PBE, using Cu Kα X-rays.

Structural model:
```
data_LaS4
_cell_length_a 5.628
_cell_length_b 5.628
_cell_length_c 7.095
_cell_angle_alpha 109.66
_cell_angle_beta 109.66
_cell_angle_gamma 45.19
_symmetry_space_group_name_H-M 'P 1'
_symmetry_Int_Tables_number 1
loop_
_symmetry_equiv_pos_as_xyz
'x,y,z'
loop_
_atom_site_label
_atom_site_fract_x
_atom_site_fract_y
_atom_site_fract_z
La1 0.000 0.000 0.000
S1 0.330 0.330 0.760
S2 0.483 0.483 0.276
S3 0.517 0.517 0.724
S4 0.670 0.670 0.240
```

The 6 most intense peaks (10 to 90 degrees two-theta), by angle:
| d_spacing | 2θ (°) | I (rel.) |
| --- | --- | --- |
| 6.607 | 13.40 | 59.6 |
| 4.836 | 18.35 | 100.0 |
| 3.187 | 28.00 | 49.5 |
| 2.742 | 32.65 | 41.4 |
| 2.689 | 33.32 | 24.8 |
| 2.366 | 38.02 | 31.5 |

No. 3
The following is a simulated powder diffraction line list of CsPH3. It was derived from a cell relaxed with PBE, using Cu Kα X-rays.

Structural model:
```
data_CsPH3
_cell_length_a 6.993
_cell_length_b 6.993
_cell_length_c 6.993
_cell_angle_alpha 39.91
_cell_angle_beta 39.91
_cell_angle_gamma 39.91
_symmetry_space_group_name_H-M 'P 1'
_symmetry_Int_Tables_number 1
loop_
_symmetry_equiv_pos_as_xyz
'x,y,z'
loop_
_atom_site_label
_atom_site_fract_x
_atom_site_fract_y
_atom_site_fract_z
Cs1 0.000 0.000 0.000
P1 0.801 0.801 0.801
H1 0.548 0.990 0.990
H2 0.990 0.548 0.990
H3 0.990 0.990 0.548
```

The 6 most intense peaks (10 to 90 degrees two-theta), by angle:
| d_spacing | 2θ (°) | I (rel.) |
| --- | --- | --- |
| 6.427 | 13.78 | 43.1 |
| 4.041 | 21.99 | 100.0 |
| 3.799 | 23.42 | 43.8 |
| 3.138 | 28.45 | 48.7 |
| 2.820 | 31.73 | 48.7 |
| 2.386 | 37.70 | 29.1 |

No. 4
The following is a simulated powder diffraction line list of BaCu2Te2Cl2O6. It was derived from a cell relaxed with PBE, using Cu Kα X-rays.

Structural model:
```
data_BaCu2Te2Cl2O6
_cell_length_a 7.556
_cell_length_b 7.653
_cell_length_c 8.345
_cell_angle_alpha 90.00
_cell_angle_beta 97.44
_cell_angle_gamma 90.00
_symmetry_space_group_name_H-M 'P 1'
_symmetry_Int_Tables_number 1
loop_
_symmetry_equiv_pos_as_xyz
'x,y,z'
loop_
_atom_site_label
_atom_site_fract_x
_atom_site_fract_y
_atom_site_fract_z
Ba1 0.136 0.000 0.061
Ba2 0.864 0.500 0.939
Cu1 0.306 0.021 0.597
Cu2 0.362 0.494 0.087
Cu3 0.638 0.994 0.913
Cu4 0.694 0.521 0.403
Te1 0.136 0.361 0.395
Te2 0.338 0.648 0.767
Te3 0.662 0.148 0.233
Te4 0.864 0.861 0.605
Cl1 0.109 0.262 0.761
Cl2 0.459 0.714 0.389
Cl3 0.541 0.214 0.611
Cl4 0.891 0.762 0.239
O1 0.120 0.842 0.634
O2 0.158 0.381 0.169
O3 0.181 0.116 0.397
O4 0.201 0.660 0.947
O5 0.442 0.880 0.770
O6 0.479 0.058 0.071
O7 0.521 0.558 0.929
O8 0.558 0.380 0.230
O9 0.799 0.160 0.053
O10 0.819 0.616 0.603
O11 0.842 0.881 0.831
O12 0.880 0.342 0.366
```

The 6 most intense peaks (10 to 90 degrees two-theta), by angle:
| d_spacing | 2θ (°) | I (rel.) |
| --- | --- | --- |
| 5.618 | 15.77 | 90.1 |
| 3.640 | 24.46 | 62.7 |
| 3.365 | 26.49 | 92.1 |
| 3.253 | 27.42 | 100.0 |
| 2.998 | 29.81 | 79.1 |
| 2.707 | 33.09 | 95.9 |

No. 5
The following is a simulated powder diffraction line list of Tb12Tl3Zn. It was derived from a cell relaxed with PBE, using Cu Kα X-rays.

Structural model:
```
data_Tb12Tl3Zn
_cell_length_a 4.846
_cell_length_b 4.846
_cell_length_c 19.333
_cell_angle_alpha 90.00
_cell_angle_beta 90.00
_cell_angle_gamma 90.00
_symmetry_space_group_name_H-M 'P 1'
_symmetry_Int_Tables_number 1
loop_
_symmetry_equiv_pos_as_xyz
'x,y,z'
loop_
_atom_site_label
_atom_site_fract_x
_atom_site_fract_y
_atom_site_fract_z
Tb1 0.000 0.000 0.000
Tb2 0.000 0.000 0.246
Tb3 0.000 0.000 0.500
Tb4 0.000 0.000 0.754
Tb5 0.000 0.500 0.119
Tb6 0.000 0.500 0.374
Tb7 0.000 0.500 0.626
Tb8 0.000 0.500 0.881
Tb9 0.500 0.000 0.119
Tb10 0.500 0.000 0.374
Tb11 0.500 0.000 0.626
Tb12 0.500 0.000 0.881
Tl1 0.500 0.500 0.248
Tl2 0.500 0.500 0.500
Tl3 0.500 0.500 0.752
Zn1 0.500 0.500 0.000
```

The 6 most intense peaks (10 to 90 degrees two-theta), by angle:
| d_spacing | 2θ (°) | I (rel.) |
| --- | --- | --- |
| 2.795 | 32.02 | 100.0 |
| 2.421 | 37.14 | 50.3 |
| 1.712 | 53.54 | 35.0 |
| 1.461 | 63.71 | 28.0 |
| 1.458 | 63.84 | 13.1 |
| 1.398 | 66.95 | 11.8 |

No. 6
The following is a simulated powder diffraction line list of PuCd12. It was derived from a cell relaxed with PBE, using Cu Kα X-rays.

Structural model:
```
data_PuCd12
_cell_length_a 7.696
_cell_length_b 7.696
_cell_length_c 7.696
_cell_angle_alpha 98.62
_cell_angle_beta 98.62
_cell_angle_gamma 134.44
_symmetry_space_group_name_H-M 'P 1'
_symmetry_Int_Tables_number 1
loop_
_symmetry_equiv_pos_as_xyz
'x,y,z'
loop_
_atom_site_label
_atom_site_fract_x
_atom_site_fract_y
_atom_site_fract_z
Pu1 0.000 0.000 0.000
Cd1 0.000 0.000 0.500
Cd2 0.000 0.351 0.351
Cd3 0.000 0.500 0.000
Cd4 0.000 0.649 0.649
Cd5 0.288 0.500 0.788
Cd6 0.351 0.000 0.351
Cd7 0.500 0.000 0.000
Cd8 0.500 0.288 0.788
Cd9 0.500 0.500 0.500
Cd10 0.500 0.712 0.212
Cd11 0.649 0.000 0.649
Cd12 0.712 0.500 0.212
```

The 6 most intense peaks (10 to 90 degrees two-theta), by angle:
| d_spacing | 2θ (°) | I (rel.) |
| --- | --- | --- |
| 2.917 | 30.65 | 49.5 |
| 2.562 | 35.02 | 74.5 |
| 2.522 | 35.60 | 100.0 |
| 2.509 | 35.79 | 54.1 |
| 2.282 | 39.49 | 40.2 |
| 1.459 | 63.82 | 27.2 |